Record 1
Calculated powder XRD pattern
Compound: Ba3Zr2S7
Radiation: λ = 1.5418 Å (Cu Kα)
Structure: a structure optimized by DFT (GGA-PBE)
Intensities are scaled so that the largest is 100.

Atomic structure:
```
Ba3Zr2S7
1.0
7.171 0.000 0.000
0.000 7.171 0.000
0.000 0.000 25.548
Ba Zr S
12 8 28
Direct
0.235 0.235 0.181
0.235 0.235 0.819
0.245 0.755 0.500
0.255 0.255 0.000
0.265 0.735 0.319
0.265 0.735 0.681
0.735 0.265 0.319
0.735 0.265 0.681
0.745 0.745 0.000
0.755 0.245 0.500
0.765 0.765 0.181
0.765 0.765 0.819
0.249 0.249 0.400
0.249 0.249 0.600
0.251 0.749 0.100
0.251 0.749 0.900
0.749 0.251 0.100
0.749 0.251 0.900
0.751 0.751 0.400
0.751 0.751 0.600
0.000 0.000 0.082
0.000 0.000 0.387
0.000 0.000 0.613
0.000 0.000 0.918
0.000 0.500 0.096
0.000 0.500 0.404
0.000 0.500 0.596
0.000 0.500 0.904
0.206 0.206 0.500
0.214 0.786 0.198
0.214 0.786 0.802
0.286 0.286 0.302
0.286 0.286 0.698
0.294 0.706 0.000
0.500 0.000 0.096
0.500 0.000 0.404
0.500 0.000 0.596
0.500 0.000 0.904
0.500 0.500 0.113
0.500 0.500 0.418
0.500 0.500 0.582
0.500 0.500 0.887
0.706 0.294 0.000
0.714 0.714 0.302
0.714 0.714 0.698
0.786 0.214 0.198
0.786 0.214 0.802
0.794 0.794 0.500
```

Principal peaks in the range 10° ≤ 2θ ≤ 80°, most intense first:
two_theta	intensity
24.78	100
35.40	36
43.67	27
32.65	19
50.73	14
57.45	13

Record 2
Calculated powder XRD pattern
Compound: Ba3Zr2S7
Radiation: λ = 1.5418 Å (Cu Kα)
Structure: a structure optimized by DFT (GGA-PBE)
Intensities are scaled so that the largest is 100.

Atomic structure:
```
Ba3Zr2S7
1.0
3.575 -12.914 0.000
3.575 12.914 0.000
0.000 0.000 7.122
Ba Zr S
6 4 14
Direct
0.000 0.500 0.000
0.168 0.306 0.000
0.306 0.168 0.500
0.500 0.000 0.500
0.694 0.832 0.500
0.832 0.694 0.000
0.101 0.400 0.500
0.400 0.101 0.000
0.600 0.899 0.000
0.899 0.600 0.500
0.000 0.500 0.500
0.156 0.844 0.250
0.156 0.844 0.750
0.182 0.285 0.500
0.285 0.182 0.000
0.349 0.651 0.250
0.349 0.651 0.750
0.500 0.000 0.000
0.651 0.349 0.250
0.651 0.349 0.750
0.715 0.818 0.000
0.818 0.715 0.500
0.844 0.156 0.250
0.844 0.156 0.750
```

Principal peaks in the range 10° ≤ 2θ ≤ 80°, most intense first:
two_theta	intensity
24.66	100
24.96	78
35.59	67
32.60	39
50.58	29
34.73	22